This entry pairs a crystal structure of CsCaP3O9 with its simulated X-ray powder pattern. Radiation: Cu Kα (λ = 1.5418 Å). Structure: a crystal structure in Alexandria, relaxed with GGA-PBE.
Peak positions follow from Bragg's law for the DFT cell and can differ from measured ones.

Principal peaks in the range 10° ≤ 2θ ≤ 90°, sorted by position:
2θ (°), d (Å), intensity
11.15, 7.934, 99
20.04, 4.431, 43
21.11, 4.208, 69
23.73, 3.749, 37
25.27, 3.524, 31
28.49, 3.133, 100
29.09, 3.070, 36
29.88, 2.990, 46
30.03, 2.975, 37
36.11, 2.488, 37

Structural model:
```
56
Lattice="10.066 0.000 0.000 0.000 7.672 0.000 0.000 0.000 12.892" Properties=species:S:1:pos:R:3 pbc="T T T"
Cs 1.084 1.918 1.103
Cs 3.949 5.754 7.549
Cs 6.117 1.918 5.343
Cs 8.982 5.754 11.789
Ca 0.120 5.754 2.894
Ca 4.913 1.918 9.340
Ca 5.153 5.754 3.552
Ca 9.946 1.918 9.998
P 2.145 1.918 7.001
P 2.501 0.409 4.541
P 2.501 3.427 4.541
P 2.532 4.245 10.987
P 2.532 7.263 10.987
P 2.889 5.754 0.554
P 7.178 1.918 12.338
P 7.534 0.409 1.905
P 7.534 3.427 1.905
P 7.566 4.245 8.352
P 7.566 7.263 8.352
P 7.922 5.754 5.892
O 1.108 1.918 8.061
O 1.239 0.338 11.148
O 1.239 3.498 11.148
O 1.424 5.754 0.898
O 1.450 3.966 3.623
O 1.450 7.542 3.623
O 1.833 0.662 5.997
O 1.833 3.174 5.997
O 2.139 5.754 10.504
O 2.895 1.918 4.058
O 3.200 4.498 12.443
O 3.200 7.010 12.443
O 3.583 0.130 10.069
O 3.583 3.706 10.069
O 3.609 1.918 7.344
O 3.794 4.174 4.702
O 3.794 7.334 4.702
O 3.926 5.754 1.615
O 6.141 1.918 11.277
O 6.272 0.338 8.190
O 6.272 3.498 8.190
O 6.457 5.754 5.548
O 6.484 3.966 2.823
O 6.484 7.542 2.823
O 6.866 0.662 0.449
O 6.866 3.174 0.449
O 7.172 5.754 8.835
O 7.928 1.918 2.388
O 8.233 4.498 6.895
O 8.233 7.010 6.895
O 8.616 0.130 9.269
O 8.616 3.706 9.269
O 8.642 1.918 11.994
O 8.827 4.174 1.744
O 8.827 7.334 1.744
O 8.959 5.754 4.831
```